Diffraction record for AcLaTe3. The X-ray powder pattern is simulated, not measured: it uses a structure optimized by DFT (GGA-PBE) and Cu Kα (weighted mean of Kα1 and Kα2).
Intensities are scaled so that the largest is 100.

```
AcLaTe3
1.0
8.6244 0.0000 0.0000
0.0000 4.6860 0.0000
0.0000 0.0000 17.9473
Ac La Te
4 4 12
direct
0.1364 0.2500 0.2019
0.3636 0.7500 0.7019
0.6364 0.2500 0.2981
0.8636 0.7500 0.7981
0.2304 0.7500 0.4581
0.2696 0.2500 0.9581
0.7304 0.7500 0.0419
0.7696 0.2500 0.5419
0.0055 0.2500 0.3921
0.1230 0.7500 0.0630
0.1528 0.2500 0.7834
0.3472 0.7500 0.2834
0.3770 0.2500 0.5630
0.4945 0.7500 0.8921
0.5055 0.2500 0.1079
0.6230 0.7500 0.4370
0.6528 0.2500 0.7166
0.8472 0.7500 0.2166
0.8770 0.2500 0.9370
0.9945 0.7500 0.6079
```

Principal peaks in the range 2θ from 10° to 90°, by angle:
- d 3.314, rel. 32
- d 2.992, rel. 100
- d 2.706, rel. 49
- d 2.343, rel. 41
- d 1.913, rel. 29
- d 1.562, rel. 33

***

Diffraction record for AcLa4Y3Te8. The X-ray powder pattern is simulated, not measured: it uses a structure optimized by DFT (GGA-PBE) and Cu Kα (weighted mean of Kα1 and Kα2).
Intensities are scaled so that the largest is 100.

```
AcLa4Y3Te8
1.0
4.5225 2.6111 7.3971
-4.5225 2.6111 7.3971
0.0000 -5.2221 7.3971
Ac La Y Te
1 4 3 8
direct
0.0000 0.0000 0.0000
0.0000 0.0000 0.5000
0.0000 0.5000 0.0000
0.5000 0.0000 0.0000
0.5000 0.5000 0.5000
0.0000 0.5000 0.5000
0.5000 0.0000 0.5000
0.5000 0.5000 0.0000
0.2533 0.2533 0.7352
0.2533 0.7352 0.2533
0.2554 0.2554 0.2554
0.2648 0.7467 0.7467
0.7352 0.2533 0.2533
0.7446 0.7446 0.7446
0.7467 0.2648 0.7467
0.7467 0.7467 0.2648
```

Principal peaks in the range 2θ from 10° to 90°, by angle:
- d 3.200, rel. 100
- d 2.262, rel. 76
- d 1.847, rel. 27
- d 1.600, rel. 13
- d 1.431, rel. 34
- d 1.306, rel. 19

***

Diffraction record for Ac6La5Th. The X-ray powder pattern is simulated, not measured: it uses a structure optimized by DFT (GGA-PBE) and Cu Kα (weighted mean of Kα1 and Kα2).
Intensities are scaled so that the largest is 100.

```
Ac6La5Th
1.0
8.6415 -5.4075 0.0000
8.6415 5.4075 0.0000
-1.7050 0.0000 5.1678
Ac La Th
6 5 1
direct
0.0833 0.5885 0.3360
0.2443 0.7557 0.0000
0.4115 0.9167 0.6640
0.5885 0.0833 0.3360
0.7557 0.2443 0.0000
0.9167 0.4115 0.6640
0.1588 0.1588 0.1590
0.3344 0.3344 0.8342
0.5000 0.5000 0.5000
0.6656 0.6656 0.1658
0.8412 0.8412 0.8410
0.0000 0.0000 0.5000
```

Principal peaks in the range 2θ from 10° to 90°, by angle:
- d 3.141, rel. 100
- d 2.735, rel. 17
- d 2.721, rel. 17
- d 2.704, rel. 17
- d 1.641, rel. 15
- d 1.633, rel. 15